No. 1
For Cs5Rb2Pb4, DFT lattice parameters and positions (GGA-PBE) gives the computed X-ray diffraction stick pattern in this record (Cu Kα, 1.54184 Å).

Atomic structure:
```
data_Cs5Rb2Pb4
_cell_length_a 17.5630
_cell_length_b 8.0874
_cell_length_c 10.8786
_cell_angle_alpha 90.00
_cell_angle_beta 112.78
_cell_angle_gamma 90.00
_space_group_name_H-M_alt 'C 1 2/m 1'
_space_group_IT_number 12
loop_
_space_group_symop_operation_xyz
'x,y,z'
'-x,-y,-z'
'-x,y,-z'
'x,-y,z'
'x+1/2,y+1/2,z'
'-x+1/2,-y+1/2,-z'
'-x+1/2,y+1/2,-z'
'x+1/2,-y+1/2,z'
loop_
_atom_site_label
_atom_site_type_symbol
_atom_site_fract_x
_atom_site_fract_y
_atom_site_fract_z
Cs1 Cs 0.0000 0.0000 0.0000
Cs2 Cs 0.1073 0.2507 0.4220
Rb1 Rb 0.2474 0.0000 0.8865
Pb1 Pb 0.0964 0.5000 0.7408
Pb2 Pb 0.2364 0.0000 0.2490
```

Main lines, by intensity (5 to 70 degrees two-theta):
(hkl), two_theta, Rel. int.
1 1 -1, 13.8, 100
1 1 3, 31.3, 47
2 0 -3, 24.6, 43
0 2 2, 28.4, 37
2 2 -2, 27.8, 33
0 2 1, 23.7, 32
1 1 2, 23.3, 26
7 1 -3, 39.4, 25
4 0 1, 26.7, 24
1 1 -3, 27.4, 23



No. 2
For BC5, DFT lattice parameters and positions (GGA-PBE) gives the computed X-ray diffraction stick pattern in this record (Cu Kα, 1.54184 Å).

Atomic structure:
```
data_BC5
_cell_length_a 11.4316
_cell_length_b 2.5226
_cell_length_c 5.1541
_cell_angle_alpha 90.00
_cell_angle_beta 103.01
_cell_angle_gamma 90.00
_space_group_name_H-M_alt 'C 1 2/m 1'
_space_group_IT_number 12
loop_
_space_group_symop_operation_xyz
'x,y,z'
'-x,-y,-z'
'-x,y,-z'
'x,-y,z'
'x+1/2,y+1/2,z'
'-x+1/2,-y+1/2,-z'
'-x+1/2,y+1/2,-z'
'x+1/2,-y+1/2,z'
loop_
_atom_site_label
_atom_site_type_symbol
_atom_site_fract_x
_atom_site_fract_y
_atom_site_fract_z
B1 B 0.2051 0.0000 0.2268
C1 C 0.0396 0.5000 0.8936
C2 C 0.0414 0.5000 0.3969
C3 C 0.1198 0.0000 0.9292
C4 C 0.1210 0.0000 0.4413
C5 C 0.1973 0.0000 0.7248
```

Main lines, by intensity (5 to 70 degrees two-theta):
(hkl), two_theta, Rel. int.
3 1 0, 43.4, 100
2 0 2, 42.7, 97
2 0 0, 15.9, 11
2 0 -1, 21.0, 2
2 0 1, 26.4, 2
4 0 0, 32.1, 1
6 0 -2, 54.4, 1
4 0 -1, 33.1, 1
1 1 -1, 40.0, 1



No. 3
For Pt2WSe6, DFT lattice parameters and positions (GGA-PBE) gives the computed X-ray diffraction stick pattern in this record (Cu Kα, 1.54184 Å).

Atomic structure:
```
data_Pt2WSe6
_cell_length_a 16.2108
_cell_length_b 3.6510
_cell_length_c 7.8180
_cell_angle_alpha 90.00
_cell_angle_beta 104.79
_cell_angle_gamma 90.00
_space_group_name_H-M_alt 'C 1 2/m 1'
_space_group_IT_number 12
loop_
_space_group_symop_operation_xyz
'x,y,z'
'-x,-y,-z'
'-x,y,-z'
'x,-y,z'
'x+1/2,y+1/2,z'
'-x+1/2,-y+1/2,-z'
'-x+1/2,y+1/2,-z'
'x+1/2,-y+1/2,z'
loop_
_atom_site_label
_atom_site_type_symbol
_atom_site_fract_x
_atom_site_fract_y
_atom_site_fract_z
Pt1 Pt 0.1660 0.0000 0.3357
W1 W 0.0000 0.5000 0.0000
Se1 Se 0.0020 0.0000 0.2371
Se2 Se 0.1642 0.5000 0.1085
Se3 Se 0.1732 0.5000 0.5608
```

Main lines, by intensity (5 to 70 degrees two-theta):
(hkl), two_theta, Rel. int.
2 0 -1, 14.0, 100
1 1 -2, 33.6, 62
6 0 0, 34.3, 30
1 1 1, 28.3, 25
5 1 2, 49.0, 22
7 1 -2, 48.5, 21
6 2 0, 62.0, 18
3 1 -3, 43.4, 17
4 0 1, 28.2, 16
2 0 -4, 46.5, 11



No. 4
For Li4CdPb3, DFT lattice parameters and positions (GGA-PBE) gives the computed X-ray diffraction stick pattern in this record (Cu Kα, 1.54184 Å).

Atomic structure:
```
data_Li4CdPb3
_cell_length_a 4.9773
_cell_length_b 4.9773
_cell_length_c 13.8093
_cell_angle_alpha 90.00
_cell_angle_beta 90.00
_cell_angle_gamma 90.00
_space_group_name_H-M_alt 'I 4/m m m'
_space_group_IT_number 139
_space_group_name_Hall '-I 4 2'
loop_
_atom_site_label
_atom_site_type_symbol
_atom_site_fract_x
_atom_site_fract_y
_atom_site_fract_z
Li1 Li 0.0000 0.5000 0.1214
Cd1 Cd 0.0000 0.0000 0.0000
Pb1 Pb 0.0000 0.0000 0.2493
Pb2 Pb 0.0000 0.0000 0.5000
```

Main lines, by intensity (5 to 70 degrees two-theta):
(hkl), two_theta, Rel. int.
1 1 0, 25.3, 100
1 1 4, 36.5, 89
0 0 4, 25.8, 48
2 0 0, 36.1, 46
2 0 4, 44.9, 45
3 1 4, 65.1, 33
3 1 0, 58.7, 20
2 2 4, 58.9, 20
1 1 8, 59.7, 19
2 2 0, 52.0, 16